(1)
For CeZrAs2N, a crystal structure in Alexandria, relaxed with GGA-PBE gives the simulated PXRD pattern in this record (Cu Kα X-rays).
Neutral-atom scattering factors, no anomalous dispersion.

Peak list (10 most intense, 10 to 90 degrees two-theta, by angle)
two_theta  Rel. int.
26.26  252
29.86  597
32.78  1000
34.32  573
38.06  201
47.03  411
51.09  401
56.72  195
59.51  230
62.04  191

Cell and atoms:
```
10
Lattice="3.864 0.000 0.000 0.000 3.864 0.000 0.000 0.000 14.185" Properties=species:S:1:pos:R:3 pbc="T T T"
Ce 0.966 0.966 1.174
Ce 2.898 2.898 13.011
Zr 0.966 0.966 8.394
Zr 2.898 2.898 5.790
As 0.966 0.966 5.574
As 0.966 0.966 11.095
As 2.898 2.898 3.090
As 2.898 2.898 8.611
N 0.966 2.898 0.000
N 2.898 0.966 0.000
```



(2)
For Tb12Nd7Sc, a crystal structure in Alexandria, relaxed with GGA-PBE gives the simulated PXRD pattern in this record (Cu Kα X-rays).
Neutral-atom scattering factors, no anomalous dispersion.

Peak list (10 most intense, 10 to 90 degrees two-theta, by angle)
two_theta  Rel. int.
23.23  234
29.66  255
30.00  1000
30.72  261
31.92  812
32.10  181
32.92  317
38.01  181
53.74  150
55.69  164

Cell and atoms:
```
20
Lattice="6.336 3.658 4.805 -6.336 3.658 4.805 0.000 -7.316 4.805" Properties=species:S:1:pos:R:3 pbc="T T T"
Tb -5.709 1.152 6.384
Tb -3.852 -4.368 8.032
Tb -0.950 -3.468 6.399
Tb -3.478 -0.912 8.017
Tb 1.856 -5.520 6.384
Tb -2.529 2.556 6.399
Tb 2.529 -2.556 8.017
Tb -1.856 5.520 8.032
Tb 3.478 0.912 6.399
Tb 0.950 3.468 8.017
Tb 3.852 4.368 6.384
Tb 5.709 -1.152 8.032
Nd 0.000 0.000 0.000
Nd -2.026 -0.644 4.648
Nd 1.571 -1.433 4.648
Nd 0.455 2.077 4.648
Nd -0.455 -2.077 9.767
Nd -1.571 1.433 9.767
Nd 2.026 0.644 9.767
Sc 0.000 0.000 7.208
```



(3)
For PrGeRuF, a crystal structure in Alexandria, relaxed with GGA-PBE gives the simulated PXRD pattern in this record (Cu Kα X-rays).
Neutral-atom scattering factors, no anomalous dispersion.

Peak list (10 most intense, 10 to 90 degrees two-theta, by angle)
two_theta  Rel. int.
11.13  385
23.69  247
30.76  800
31.76  227
37.45  1000
42.42  649
50.68  249
53.31  337
55.36  267
74.32  252

Cell and atoms:
```
8
Lattice="4.262 0.000 0.000 0.000 4.262 0.000 0.000 0.000 7.949" Properties=species:S:1:pos:R:3 pbc="T T T"
Pr 1.065 1.065 1.487
Pr 3.196 3.196 6.462
Ge 1.065 1.065 5.201
Ge 3.196 3.196 2.748
Ru 1.065 3.196 3.975
Ru 3.196 1.065 3.975
F 1.065 3.196 0.000
F 3.196 1.065 0.000
```